The following is a computed powder X-ray diffraction pattern of KNbCu2S4. It was derived from a structure optimized by DFT (GGA-PBE), using Cu Ka.
Peak positions follow from Bragg's law for the DFT cell and can differ from measured ones.

Cell and atoms:
Cell lengths 7.4303, 9.5967, 9.5967 Å; angles 146.41, 90.00, 90.00 degrees
Element x y z (fractional)
K: 0.2500 0.1824 0.8176
K: 0.7500 0.8176 0.1824
Nb: 0.2500 0.6412 0.8672
Nb: 0.7500 0.8672 0.6412
Cu: 0.0000 0.7330 0.7330
Cu: 0.2500 0.1454 0.3628
Cu: 0.5000 0.7330 0.7330
Cu: 0.7500 0.3628 0.1454
S: 0.0024 0.6157 0.4009
S: 0.2500 0.7952 0.2191
S: 0.2500 0.9832 0.9994
S: 0.4976 0.6157 0.4009
S: 0.5024 0.4009 0.6157
S: 0.7500 0.2191 0.7952
S: 0.7500 0.9994 0.9832
S: 0.9976 0.4009 0.6157

The 10 most intense peaks (2θ from 10° to 90°), in order of falling intensity:
d 5.777, I = 100
d 2.000, I = 58
d 2.500, I = 33
d 5.309, I = 32
d 3.044, I = 31
d 3.063, I = 25
d 1.799, I = 23
d 1.858, I = 17
d 3.715, I = 15
d 2.832, I = 14